Simulated PXRD pattern of Li2FePHO5 for Cu Kα, 1.54184 Å, from the GGA+U geometry in Alexandria.
Kinematic intensities with the Lorentz-polarization factor, no thermal factor.

The 10 most intense peaks (10° ≤ 2θ ≤ 90°), low angle first:
| 2theta | d [Å] | Rel. int. | hkl |
| --- | --- | --- | --- |
| 17.23 | 5.147 | 37 | 0 1 0 |
| 17.60 | 5.038 | 50 | 1 0 -1 |
| 17.85 | 4.969 | 26 | 1 0 0 |
| 25.72 | 3.463 | 55 | 1 0 -2 |
| 26.07 | 3.418 | 100 | 0 1 -2 |
| 27.39 | 3.257 | 85 | 1 1 0 |
| 34.39 | 2.608 | 26 | -1 1 2 |
| 35.86 | 2.504 | 43 | 1 -2 0 |
| 53.65 | 1.708 | 36 | 1 -3 2 |
| 53.89 | 1.701 | 32 | 2 0 2 |

Structure:
```
data_Li2FePHO5
_chemical_formula_sum 'Li4 Fe2 P2 H2 O10'
_symmetry_space_group_name_H-M 'P -1'
_symmetry_Int_Tables_number 2
_cell_length_a 5.4091
_cell_length_b 5.5333
_cell_length_c 7.6241
_cell_angle_alpha 108.13
_cell_angle_beta 110.19
_cell_angle_gamma 94.33
loop_
_symmetry_equiv_pos_as_xyz
'x,y,z'
'-x,-y,-z'
loop_
_atom_site_label
_atom_site_fract_x
_atom_site_fract_y
_atom_site_fract_z
_atom_site_occupancy
Li1 0.0162 0.1459 0.3426 1
Li2 0.2651 0.3896 0.1895 1
Fe1 0.5000 0.0000 0.0000 1
Fe2 0.5000 0.0000 0.5000 1
P1 0.1710 0.3722 0.7415 1
H1 0.1827 0.9078 0.1382 1
O1 0.1051 0.7740 0.4300 1
O2 0.1477 0.6582 0.8397 1
O3 0.2292 0.2325 0.8979 1
O4 0.3264 0.0602 0.2286 1
O5 0.3906 0.3601 0.6541 1
```